For MgVAuC, a PBE-relaxed structure gives the computed X-ray diffraction stick pattern in this record (Cu Ka).

Structure:
Lattice parameters (Å, degrees): 3.0837 3.0837 6.7738 90.00 90.00 120.00
Space group P3m1 (No. 156)
One atom of each set of equivalent atoms:
Mg (0.0000, 0.0000, 0.0000) [1 per cell]
V (0.3333, 0.6667, 0.3409) [1 per cell]
Au (0.6667, 0.3333, 0.6705) [1 per cell]
C (0.6667, 0.3333, 0.2176) [1 per cell]

Main lines, by intensity (2θ = 15–90°):
2theta  intensity  index
36.15  100  0 1 1
43.14  72  1 0 2
33.56  39  1 0 0
26.31  23  0 0 2
65.24  20  0 1 4
39.93  20  0 0 3

***

For MnRuAuCS, a PBE-relaxed structure gives the computed X-ray diffraction stick pattern in this record (Cu Ka).

Structure:
Lattice parameters (Å, degrees): 3.1772 3.1772 24.1775 90.00 90.00 120.00
Space group R3m (No. 160, hexagonal axes)
One atom of each set of equivalent atoms:
Mn (0.0000, 0.0000, 0.0000) [3 per cell]
Ru (0.0000, 0.0000, 0.7509) [3 per cell]
Au (0.0000, 0.0000, 0.2453) [3 per cell]
C (0.0000, 0.0000, 0.3559) [3 per cell]
S (0.0000, 0.0000, 0.1405) [3 per cell]

Main lines, by intensity (2θ = 15–90°):
2theta  intensity  index
35.86  100  1 0 4
33.39  90  0 1 2
44.53  78  0 1 8
22.06  51  0 0 6
58.06  38  1 1 0
50.23  30  1 0 10

***

For MnRuAuCS, a PBE-relaxed structure gives the computed X-ray diffraction stick pattern in this record (Cu Ka).

Structure:
Lattice parameters (Å, degrees): 2.916 4.408 6.590 105.55 100.32 95.41
Space group P1 (No. 1)
One atom of each set of equivalent atoms:
Mn (0.000, 0.000, 0.000) [1 per cell]
Ru (0.552, 0.450, 0.916) [1 per cell]
Au (0.825, 0.678, 0.567) [1 per cell]
C (0.933, 0.147, 0.765) [1 per cell]
S (0.633, 0.283, 0.220) [1 per cell]

Main lines, by intensity (2θ = 15–90°):
2theta  intensity  index
28.94  100  0 1 1
35.43  92  1 -1 0
21.84  89  0 1 -1
30.44  79  0 1 -2
21.16  76  0 1 0
31.54  64  1 0 0

***

For MnRuAuCS, a PBE-relaxed structure gives the computed X-ray diffraction stick pattern in this record (Cu Ka).

Structure:
Lattice parameters (Å, degrees): 10.839 2.899 5.369 90.00 118.86 90.00
Space group Cm (No. 8)
One atom of each set of equivalent atoms:
Mn (0.000, 0.000, 0.000) [2 per cell]
Ru (0.497, 0.500, 0.488) [2 per cell]
Au (0.277, 0.000, 0.544) [2 per cell]
C (0.484, 0.000, 0.230) [2 per cell]
S (0.136, 0.500, 0.902) [2 per cell]

Main lines, by intensity (2θ = 15–90°):
2theta  intensity  index
18.87  100  0 0 1
42.28  65  3 1 0
35.18  54  1 1 -1
32.29  45  1 1 0
33.07  44  4 0 -1
38.78  44  4 0 -2

***

For MnSnAuC, a PBE-relaxed structure gives the computed X-ray diffraction stick pattern in this record (Cu Ka).

Structure:
Lattice parameters (Å, degrees): 16.271 2.872 2.875 90.00 100.00 90.00
Space group Cm (No. 8)
One atom of each set of equivalent atoms:
Mn (0.000, 0.000, 0.000) [2 per cell]
Sn (0.318, 0.500, 0.825) [2 per cell]
Au (0.143, 0.500, 0.640) [2 per cell]
C (0.001, 0.500, 0.501) [2 per cell]

Main lines, by intensity (2θ = 15–90°):
2theta  intensity  index
31.63  100  2 0 -1
42.22  50  4 0 1
44.60  41  1 1 -1
33.56  41  6 0 0
74.00  18  3 1 -2
57.01  18  7 1 -1

***

For AuC2N3, a PBE-relaxed structure gives the computed X-ray diffraction stick pattern in this record (Cu Ka).

Structure:
Lattice parameters (Å, degrees): 3.8644 3.8644 25.0670 90.00 90.00 120.00
Space group P3_121 (No. 152)
One atom of each set of equivalent atoms:
Au (0.0000, 0.1567, 0.1667) [3 per cell]
C (0.0437, 0.7456, 0.7129) [6 per cell]
N (0.0000, 0.5858, 0.6667) [3 per cell]
N (0.0870, 0.8525, 0.7575) [6 per cell]

Main lines, by intensity (2θ = 15–90°):
2theta  intensity  index
28.74  100  1 0 3
26.88  99  1 0 1
26.64  73  1 0 0
21.27  55  0 0 6
32.15  51  0 0 9
27.59  51  0 1 2

***

For AuC4N4O2, a PBE-relaxed structure gives the computed X-ray diffraction stick pattern in this record (Cu Ka).

Structure:
Lattice parameters (Å, degrees): 6.618 7.901 7.711 90.00 95.10 90.00
Space group P2_1/c (No. 14)
One atom of each set of equivalent atoms:
Au (0.000, 0.000, 0.000) [2 per cell]
C (0.119, 0.079, 0.235) [4 per cell]
C (0.251, 0.634, 0.465) [4 per cell]
N (0.179, 0.132, 0.372) [4 per cell]
N (0.398, 0.709, 0.440) [4 per cell]
O (0.413, 0.065, 0.582) [4 per cell]

Main lines, by intensity (2θ = 15–90°):
2theta  intensity  index
16.09  100  0 1 1
20.34  95  1 1 -1
21.68  62  1 1 1
26.30  42  1 2 0
23.16  38  0 0 2
30.71  35  2 1 -1

***

For Pa2AuC2N6, a PBE-relaxed structure gives the computed X-ray diffraction stick pattern in this record (Cu Ka).

Structure:
Lattice parameters (Å, degrees): 5.193 5.858 5.897 112.70 104.55 104.13
Space group P-1 (No. 2)
One atom of each set of equivalent atoms:
Pa (0.242, 0.129, 0.348) [2 per cell]
Au (0.500, 0.500, 0.000) [1 per cell]
C (0.252, 0.769, 0.729) [2 per cell]
N (0.152, 0.852, 0.925) [2 per cell]
N (0.247, 0.886, 0.567) [2 per cell]
N (0.368, 0.576, 0.686) [2 per cell]

Main lines, by intensity (2θ = 15–90°):
2theta  intensity  index
26.43  100  1 1 -1
20.54  97  1 -1 0
30.69  72  0 1 1
35.83  54  2 0 -1
31.36  48  0 1 -2
31.51  46  0 2 -1

***

Repeat the second record exactly.
For MnRuAuCS, a PBE-relaxed structure gives the computed X-ray diffraction stick pattern in this record (Cu Ka).

Structure:
Lattice parameters (Å, degrees): 3.1772 3.1772 24.1775 90.00 90.00 120.00
Space group R3m (No. 160, hexagonal axes)
One atom of each set of equivalent atoms:
Mn (0.0000, 0.0000, 0.0000) [3 per cell]
Ru (0.0000, 0.0000, 0.7509) [3 per cell]
Au (0.0000, 0.0000, 0.2453) [3 per cell]
C (0.0000, 0.0000, 0.3559) [3 per cell]
S (0.0000, 0.0000, 0.1405) [3 per cell]

Main lines, by intensity (2θ = 15–90°):
2theta  intensity  index
35.86  100  1 0 4
33.39  90  0 1 2
44.53  78  0 1 8
22.06  51  0 0 6
58.06  38  1 1 0
50.23  30  1 0 10

***

Question: Number 7 is which compound?
Answer: AuC4N4O2